(1)
Structure and calculated powder XRD pattern of Y2Cd16Bi (a structure optimized by DFT (PBE); copper Kα).
Lines closer than 0.1° are merged.

a b c (Å): 7.6884 7.6884 7.6884
angles (deg): 84.11 84.11 84.11
Element x y z (fractional)
Y1 0.0000 0.0000 0.0000
Y2 0.3273 0.3273 0.3273
Cd1 0.0144 0.0144 0.4895
Cd2 0.0144 0.4895 0.0144
Cd3 0.1789 0.6508 0.6508
Cd4 0.3144 0.3144 0.8401
Cd5 0.3144 0.8401 0.3144
Cd6 0.3398 0.6669 0.9828
Cd7 0.3398 0.9828 0.6669
Cd8 0.4895 0.0144 0.0144
Cd9 0.5573 0.5573 0.5573
Cd10 0.6508 0.1789 0.6508
Cd11 0.6508 0.6508 0.1789
Cd12 0.6669 0.3398 0.9828
Cd13 0.6669 0.9828 0.3398
Cd14 0.8401 0.3144 0.3144
Cd15 0.9828 0.3398 0.6669
Cd16 0.9828 0.6669 0.3398
Bi1 0.7711 0.7711 0.7711

Top 10 peaks for 10 to 80 degrees two-theta, sorted by position:
2θ 30.1, I = 44; 2θ 34.8, I = 58; 2θ 35.4, I = 96; 2θ 36.9, I = 34; 2θ 39.6, I = 100; 2θ 41.0, I = 26; 2θ 56.9, I = 18; 2θ 62.5, I = 32; 2θ 65.5, I = 29; 2θ 74.8, I = 20

---

(2)
Structure and calculated powder XRD pattern of Pm2PrDyTm5 (a structure optimized by DFT (PBE); copper Kα).
Lines closer than 0.1° are merged.

a b c (Å): 9.7965 9.7965 9.7965
angles (deg): 127.16 127.16 78.00
Element x y z (fractional)
Pm1 0.1158 0.6158 0.7316
Pm2 0.3842 0.1158 0.5000
Pm3 0.6158 0.8842 0.5000
Pm4 0.8842 0.3842 0.2684
Pr1 0.2500 0.2500 0.0000
Pr2 0.7500 0.7500 0.0000
Dy1 0.2500 0.7500 0.5000
Dy2 0.7500 0.2500 0.5000
Tm1 0.0000 0.0000 0.0000
Tm2 0.0731 0.1539 0.5000
Tm3 0.1539 0.6539 0.0808
Tm4 0.3461 0.4269 0.5000
Tm5 0.4269 0.9269 0.0808
Tm6 0.5000 0.5000 0.0000
Tm7 0.5731 0.0731 0.9192
Tm8 0.6539 0.5731 0.5000
Tm9 0.8461 0.3461 0.9192
Tm10 0.9269 0.8461 0.5000

Top 10 peaks for 10 to 80 degrees two-theta, sorted by position:
2θ 28.9, I = 97; 2θ 31.2, I = 100; 2θ 32.5, I = 12; 2θ 34.6, I = 12; 2θ 37.5, I = 11; 2θ 37.7, I = 16; 2θ 43.2, I = 20; 2θ 47.8, I = 13; 2θ 52.8, I = 23; 2θ 56.9, I = 20

---

Question: What is the formula in the second record?
Answer: Pm2PrDyTm5

---

Question: What is the formula in the first record?
Answer: Y2Cd16Bi